Starting from a GGA-PBE-relaxed structure, the XRD peak list of HoEr4As5 was simulated for Cu Kα (weighted mean of Kα1 and Kα2).
Lines closer than 0.1° are merged.

Principal peaks in the range 2θ = 10–90°, by angle:
2theta, I/Imax, hkl
26.72, 24.7, 2 1 1
30.95, 100.0, 1 3 0
44.34, 74.5, 4 2 0
52.52, 12.2, 5 0 1
55.05, 26.2, 4 2 2
64.50, 12.2, 2 6 0
71.12, 5.0, 6 3 1
73.26, 33.5, 7 1 0
81.62, 25.3, 7 1 2
87.77, 4.0, 6 3 3

```
data_HoEr4As5
_chemical_formula_sum 'Ho2 Er8 As10'
_space_group_name_H-M_alt 'I 4/m'
_space_group_IT_number 87
_space_group_name_Hall '-I 4'
_cell_length_a 9.137
_cell_length_b 9.137
_cell_length_c 5.778
_cell_angle_alpha 90.00
_cell_angle_beta 90.00
_cell_angle_gamma 90.00
loop_
_atom_site_label
_atom_site_fract_x
_atom_site_fract_y
_atom_site_fract_z
_atom_site_occupancy
Ho1 0.000 0.000 0.000 1
Er1 0.100 0.300 0.500 1
As1 0.000 0.000 0.500 1
As2 0.100 0.301 0.000 1
```